1.
This entry pairs a crystal structure of ErTmW2C3 with its theoretical powder diffraction line list. Radiation: Cu Kα. Structure: a crystal structure in OQMD, relaxed with PBE.
Neutral-atom scattering factors, no anomalous dispersion.

Structural model:
```
ErTmW2C3
1.0
5.8451 -1.6485 0.0000
5.8451 1.6485 0.0000
-2.1080 0.0000 5.2527
Er Tm W C
1 1 2 3
direct
0.0000 0.0000 0.0000
0.7786 0.7786 0.3558
0.2348 0.2348 0.8515
0.5444 0.5444 0.5057
0.1415 0.1415 0.4406
0.3893 0.3893 0.1794
0.6381 0.6381 0.9168
```

Largest 12 diffraction maxima, in order of rising 2θ, 5° ≤ 2θ ≤ 70°:
two_theta, I/Imax
30.96, 18
31.46, 19
31.85, 34
33.03, 42
34.14, 23
34.72, 100
36.55, 78
37.78, 20
43.52, 24
55.76, 17
56.50, 22
58.84, 17

2.
This entry pairs a crystal structure of YErTm2C3 with its theoretical powder diffraction line list. Radiation: Cu Kα. Structure: a crystal structure in OQMD, relaxed with PBE.
Neutral-atom scattering factors, no anomalous dispersion.

Structural model:
```
YErTm2C3
1.0
6.4303 -1.8287 0.0000
6.4303 1.8287 0.0000
-2.5799 0.0000 5.4516
Y Er Tm C
1 1 2 3
direct
0.0000 0.0000 0.0000
0.7288 0.7288 0.0119
0.2311 0.2311 0.5607
0.4983 0.4983 0.4524
0.0859 0.0859 0.7128
0.3631 0.3631 0.0066
0.6447 0.6447 0.2993
```

Largest 12 diffraction maxima, in order of rising 2θ, 5° ≤ 2θ ≤ 70°:
two_theta, I/Imax
28.55, 24
29.65, 11
30.77, 43
32.19, 59
32.85, 100
34.14, 23
41.94, 22
49.87, 14
51.94, 21
55.18, 17
56.46, 18
59.75, 13